Record 1
Computed powder diffractogram
Compound: KTlHg4Au2
Radiation: Cu Ka
Structure: a DFT-relaxed cell (PBE, Alexandria)
Neutral-atom scattering factors, no anomalous dispersion.

Unit cell a=4.4031 b=4.4031 c=12.3670 alpha=90.00 beta=90.00 gamma=90.00
Fractional coordinates of all 8 atoms:
K1 0.0000 0.0000 0.0000
Tl1 0.0000 0.0000 0.5000
Hg1 0.0000 0.5000 0.2266
Hg2 0.0000 0.5000 0.7734
Hg3 0.5000 0.0000 0.2266
Hg4 0.5000 0.0000 0.7734
Au1 0.5000 0.5000 0.3896
Au2 0.5000 0.5000 0.6104

Largest 6 diffraction maxima, low angle first, 2θ from 10° to 90°:
d [Å]  Position (°2θ)  I_rel
6.183  14.32  286
3.019  29.59  357
2.781  32.19  1000
2.530  35.48  247
2.202  41.00  464
2.194  41.15  284



Record 2
Computed powder diffractogram
Compound: La4Hg3Au
Radiation: Cu Ka
Structure: a DFT-relaxed cell (PBE, Alexandria)
Neutral-atom scattering factors, no anomalous dispersion.

Unit cell a=3.8798 b=3.8798 c=15.5124 alpha=90.00 beta=90.00 gamma=90.00
Fractional coordinates of all 8 atoms:
La1 0.0000 0.0000 0.1146
La2 0.0000 0.0000 0.3721
La3 0.0000 0.0000 0.6279
La4 0.0000 0.0000 0.8854
Hg1 0.5000 0.5000 0.2476
Hg2 0.5000 0.5000 0.5000
Hg3 0.5000 0.5000 0.7524
Au1 0.5000 0.5000 0.0000

Largest 6 diffraction maxima, low angle first, 2θ from 10° to 90°:
d [Å]  Position (°2θ)  I_rel
2.743  32.65  1000
1.940  46.84  183
1.584  58.26  379
1.372  68.40  117
1.227  77.87  162
1.120  87.01  42



Record 3
Computed powder diffractogram
Compound: La2Hg5Au
Radiation: Cu Ka
Structure: a DFT-relaxed cell (PBE, Alexandria)
Neutral-atom scattering factors, no anomalous dispersion.

Unit cell a=4.9003 b=4.9003 c=11.2968 alpha=102.41 beta=102.41 gamma=59.80
Fractional coordinates of all 8 atoms:
La1 0.0924 0.0924 0.2769
La2 0.9076 0.9076 0.7231
Hg1 0.1990 0.1990 0.5974
Hg2 0.3672 0.3672 0.1045
Hg3 0.5000 0.5000 0.5000
Hg4 0.6328 0.6328 0.8955
Hg5 0.8010 0.8010 0.4026
Au1 0.0000 0.0000 0.0000

Largest 6 diffraction maxima, low angle first, 2θ from 10° to 90°:
d [Å]  Position (°2θ)  I_rel
5.472  16.20  198
3.145  28.38  824
2.596  34.55  539
2.450  36.69  1000
2.441  36.82  684
1.412  66.21  204



Record 4
Computed powder diffractogram
Compound: La7Hg2Au2
Radiation: Cu Ka
Structure: a DFT-relaxed cell (PBE, Alexandria)
Neutral-atom scattering factors, no anomalous dispersion.

Unit cell a=7.1794 b=7.1794 c=7.4171 alpha=90.00 beta=90.00 gamma=107.28
Fractional coordinates of all 11 atoms:
La1 0.0000 0.0000 0.0000
La2 0.0000 0.5000 0.2802
La3 0.0000 0.5000 0.7198
La4 0.5000 0.0000 0.2802
La5 0.5000 0.0000 0.7198
La6 0.5000 0.5000 0.2713
La7 0.5000 0.5000 0.7287
Hg1 0.1677 0.1677 0.5000
Hg2 0.8323 0.8323 0.5000
Au1 0.2883 0.7117 0.0000
Au2 0.7117 0.2883 0.0000

Largest 6 diffraction maxima, low angle first, 2θ from 10° to 90°:
d [Å]  Position (°2θ)  I_rel
4.560  19.47  460
3.692  24.11  617
2.891  30.93  645
2.550  35.20  541
2.517  35.67  1000
2.275  39.62  386



Record 5
Computed powder diffractogram
Compound: Li2LaHgAu2
Radiation: Cu Ka
Structure: a DFT-relaxed cell (PBE, Alexandria)
Neutral-atom scattering factors, no anomalous dispersion.

Unit cell a=4.6254 b=4.6254 c=6.8399 alpha=90.00 beta=90.00 gamma=120.00
Fractional coordinates of all 6 atoms:
Li1 0.3333 0.6667 0.1488
Li2 0.6667 0.3333 0.8512
La1 0.0000 0.0000 0.5000
Hg1 0.0000 0.0000 0.0000
Au1 0.3333 0.6667 0.7551
Au2 0.6667 0.3333 0.2449

Largest 6 diffraction maxima, low angle first, 2θ from 10° to 90°:
d [Å]  Position (°2θ)  I_rel
3.457  25.77  836
2.601  34.48  1000
2.313  38.94  692
1.728  52.98  298
1.384  67.68  288
1.375  68.21  256



Record 6
Computed powder diffractogram
Compound: La4TlHgAu2
Radiation: Cu Ka
Structure: a DFT-relaxed cell (PBE, Alexandria)
Neutral-atom scattering factors, no anomalous dispersion.

Unit cell a=9.4764 b=9.4764 c=9.4764 alpha=33.52 beta=33.52 gamma=33.52
Fractional coordinates of all 8 atoms:
La1 0.1226 0.1226 0.1226
La2 0.3727 0.3727 0.3727
La3 0.6273 0.6273 0.6273
La4 0.8774 0.8774 0.8774
Tl1 0.5000 0.5000 0.5000
Hg1 0.0000 0.0000 0.0000
Au1 0.2478 0.2478 0.2478
Au2 0.7522 0.7522 0.7522

Largest 6 diffraction maxima, low angle first, 2θ from 10° to 90°:
d [Å]  Position (°2θ)  I_rel
3.866  23.01  39
2.734  32.76  1000
1.933  47.01  184
1.578  58.48  383
1.367  68.67  118
1.222  78.19  165



Record 7
Computed powder diffractogram
Compound: LaTmHgAu
Radiation: Cu Ka
Structure: a DFT-relaxed cell (PBE, Alexandria)
Neutral-atom scattering factors, no anomalous dispersion.

Unit cell a=3.6633 b=3.6633 c=7.7040 alpha=90.00 beta=90.00 gamma=90.00
Fractional coordinates of all 4 atoms:
La1 0.0000 0.0000 0.0000
Tm1 0.0000 0.0000 0.4747
Hg1 0.5000 0.5000 0.7156
Au1 0.5000 0.5000 0.2770

Largest 6 diffraction maxima, low angle first, 2θ from 10° to 90°:
d [Å]  Position (°2θ)  I_rel
2.655  33.77  1000
2.590  34.63  517
1.832  49.78  187
1.546  59.84  142
1.508  61.51  361
1.158  83.44  87



Record 8
Computed powder diffractogram
Compound: Li2HgAu3
Radiation: Cu Ka
Structure: a DFT-relaxed cell (PBE, Alexandria)
Neutral-atom scattering factors, no anomalous dispersion.

Unit cell a=6.6034 b=6.6034 c=6.4257 alpha=118.87 beta=118.87 gamma=76.31
Fractional coordinates of all 12 atoms:
Li1 0.9998 0.5000 0.2447
Li2 0.0002 0.5000 0.7553
Li3 0.5000 0.0002 0.2553
Li4 0.5000 0.9998 0.7447
Hg1 0.1574 0.8426 0.7500
Hg2 0.8426 0.1574 0.2500
Au1 0.1869 0.8131 0.2500
Au2 0.3287 0.3299 0.5790
Au3 0.3299 0.3287 0.0790
Au4 0.6701 0.6713 0.9210
Au5 0.6713 0.6701 0.4210
Au6 0.8131 0.1869 0.7500

Largest 6 diffraction maxima, low angle first, 2θ from 10° to 90°:
d [Å]  Position (°2θ)  I_rel
3.213  27.77  1000
2.891  30.93  445
2.591  34.62  627
2.581  34.75  597
2.023  44.81  309
2.012  45.06  891



Record 9
Computed powder diffractogram
Compound: Li5Hg4Au2
Radiation: Cu Ka
Structure: a DFT-relaxed cell (PBE, Alexandria)
Neutral-atom scattering factors, no anomalous dispersion.

Unit cell a=10.1128 b=10.1128 c=7.0371 alpha=96.15 beta=96.15 gamma=17.92
Fractional coordinates of all 11 atoms:
Li1 0.0000 0.0000 0.0000
Li2 0.3403 0.3403 0.8568
Li3 0.4023 0.4023 0.2804
Li4 0.5977 0.5977 0.7196
Li5 0.6597 0.6597 0.1432
Hg1 0.1768 0.1768 0.4841
Hg2 0.4612 0.4612 0.6830
Hg3 0.5389 0.5389 0.3170
Hg4 0.8232 0.8232 0.5159
Au1 0.2725 0.2725 0.1652
Au2 0.7275 0.7275 0.8348

Largest 6 diffraction maxima, low angle first, 2θ from 10° to 90°:
d [Å]  Position (°2θ)  I_rel
6.996  12.65  472
4.274  20.78  498
2.593  34.59  1000
2.424  37.09  428
2.345  38.39  366
2.084  43.42  493



Record 10
Computed powder diffractogram
Compound: Li3Hg3Au2
Radiation: Cu Ka
Structure: a DFT-relaxed cell (PBE, Alexandria)
Neutral-atom scattering factors, no anomalous dispersion.

Unit cell a=3.8112 b=4.3409 c=9.3872 alpha=102.78 beta=101.54 gamma=90.22
Fractional coordinates of all 8 atoms:
Li1 0.0000 0.0000 0.0000
Li2 0.1399 0.6397 0.2788
Li3 0.8601 0.3603 0.7212
Hg1 0.3820 0.8784 0.7568
Hg2 0.5000 0.5000 0.0000
Hg3 0.6180 0.1216 0.2432
Au1 0.2456 0.2467 0.4932
Au2 0.7544 0.7533 0.5068

Largest 6 diffraction maxima, low angle first, 2θ from 10° to 90°:
d [Å]  Position (°2θ)  I_rel
3.728  23.87  659
2.420  37.15  1000
2.411  37.30  494
2.401  37.46  490
2.240  40.27  393
2.170  41.61  369



Record 11
Computed powder diffractogram
Compound: Li7Hg2Au2
Radiation: Cu Ka
Structure: a DFT-relaxed cell (PBE, Alexandria)
Neutral-atom scattering factors, no anomalous dispersion.

Unit cell a=5.6905 b=5.6905 c=7.5331 alpha=90.00 beta=90.00 gamma=119.81
Fractional coordinates of all 11 atoms:
Li1 0.0000 0.0000 0.0000
Li2 0.0000 0.5000 0.3038
Li3 0.0000 0.5000 0.6962
Li4 0.5000 0.0000 0.3038
Li5 0.5000 0.0000 0.6962
Li6 0.5000 0.5000 0.1850
Li7 0.5000 0.5000 0.8150
Hg1 0.2452 0.2452 0.5000
Hg2 0.7548 0.7548 0.5000
Au1 0.2734 0.7266 0.0000
Au2 0.7266 0.2734 0.0000

Largest 6 diffraction maxima, low angle first, 2θ from 10° to 90°:
d [Å]  Position (°2θ)  I_rel
4.121  21.56  1000
3.767  23.62  413
2.668  33.59  405
2.469  36.39  255
2.064  43.87  491
1.809  50.45  233



Record 12
Computed powder diffractogram
Compound: Li3Hg3Au
Radiation: Cu Ka
Structure: a DFT-relaxed cell (PBE, Alexandria)
Neutral-atom scattering factors, no anomalous dispersion.

Unit cell a=6.6437 b=6.6437 c=6.1192 alpha=90.00 beta=90.00 gamma=92.73
Fractional coordinates of all 14 atoms:
Li1 0.0000 0.0000 0.2301
Li2 0.0000 0.0000 0.7699
Li3 0.0000 0.5000 0.2375
Li4 0.0000 0.5000 0.7625
Li5 0.5000 0.0000 0.2375
Li6 0.5000 0.0000 0.7625
Hg1 0.2526 0.7474 0.5000
Hg2 0.2752 0.2752 0.5000
Hg3 0.3038 0.3038 0.0000
Hg4 0.6962 0.6962 0.0000
Hg5 0.7248 0.7248 0.5000
Hg6 0.7474 0.2526 0.5000
Au1 0.2447 0.7553 0.0000
Au2 0.7553 0.2447 0.0000

Largest 6 diffraction maxima, low angle first, 2θ from 10° to 90°:
d [Å]  Position (°2θ)  I_rel
3.318  26.87  1000
3.060  29.19  471
2.404  37.40  266
2.249  40.09  770
1.890  48.13  243
1.389  67.41  158



Record 13
Computed powder diffractogram
Compound: Li7HgAu4
Radiation: Cu Ka
Structure: a DFT-relaxed cell (PBE, Alexandria)
Neutral-atom scattering factors, no anomalous dispersion.

Unit cell a=6.9130 b=6.9130 c=8.1002 alpha=121.77 beta=121.77 gamma=40.97
Fractional coordinates of all 12 atoms:
Li1 0.0000 0.0000 0.0000
Li2 0.2482 0.2482 0.7103
Li3 0.2871 0.2871 0.1220
Li4 0.4322 0.4322 0.5975
Li5 0.5678 0.5678 0.4025
Li6 0.7129 0.7129 0.8780
Li7 0.7518 0.7518 0.2897
Hg1 0.5000 0.5000 0.0000
Au1 0.0586 0.0586 0.7236
Au2 0.1910 0.1910 0.3540
Au3 0.8090 0.8090 0.6460
Au4 0.9414 0.9414 0.2764

Largest 6 diffraction maxima, low angle first, 2θ from 10° to 90°:
d [Å]  Position (°2θ)  I_rel
3.346  26.64  458
3.220  27.70  368
3.026  29.52  1000
2.419  37.17  379
2.211  40.82  529
1.814  50.30  338



Record 14
Computed powder diffractogram
Compound: Li12Hg3Au
Radiation: Cu Ka
Structure: a DFT-relaxed cell (PBE, Alexandria)
Neutral-atom scattering factors, no anomalous dispersion.

Unit cell a=4.1370 b=4.1370 c=16.1278 alpha=90.00 beta=90.00 gamma=90.00
Fractional coordinates of all 16 atoms:
Li1 0.0000 0.0000 0.0000
Li2 0.0000 0.0000 0.2461
Li3 0.0000 0.0000 0.5000
Li4 0.0000 0.0000 0.7539
Li5 0.0000 0.5000 0.1175
Li6 0.0000 0.5000 0.3735
Li7 0.0000 0.5000 0.6265
Li8 0.0000 0.5000 0.8825
Li9 0.5000 0.0000 0.1175
Li10 0.5000 0.0000 0.3735
Li11 0.5000 0.0000 0.6265
Li12 0.5000 0.0000 0.8825
Hg1 0.5000 0.5000 0.2466
Hg2 0.5000 0.5000 0.5000
Hg3 0.5000 0.5000 0.7534
Au1 0.5000 0.5000 0.0000

Largest 6 diffraction maxima, low angle first, 2θ from 10° to 90°:
d [Å]  Position (°2θ)  I_rel
4.137  21.48  1000
4.032  22.05  469
2.925  30.56  427
2.887  30.97  823
2.368  38.00  587
1.682  54.58  343